# MnTl3F4
Computed X-ray powder pattern, Cu Kα, 1.54184 Å. Input: a crystal structure in Alexandria, relaxed with GGA+U.

Cell and atoms:
Cell: 8.5058 6.8701 6.0198 Å, 90.00 90.00 90.00°
Sites, in units of the cell vectors:
Mn1 0.0000 0.1668 0.0000
Mn2 0.5000 0.8332 0.5000
Tl1 0.0000 0.8336 0.4864
Tl2 0.2283 0.6738 0.9718
Tl3 0.2717 0.3262 0.4718
Tl4 0.5000 0.1664 0.9864
Tl5 0.7283 0.3262 0.4718
Tl6 0.7717 0.6738 0.9718
F1 0.0000 0.1952 0.6647
F2 0.0000 0.4219 0.1708
F3 0.1954 0.0533 0.1448
F4 0.3046 0.9467 0.6448
F5 0.5000 0.5781 0.6708
F6 0.5000 0.8048 0.1647
F7 0.6954 0.9467 0.6448
F8 0.8046 0.0533 0.1448

The 10 most intense peaks (2θ from 10° to 90°), by intensity:
- 28.80°, I = 1000, (2 1 1)
- 29.95°, I = 447, (0 2 1)
- 29.68°, I = 277, (0 0 2)
- 52.86°, I = 240, (0 2 3)
- 44.96°, I = 221, (2 3 0)
- 52.13°, I = 209, (2 1 3)
- 54.80°, I = 209, (2 3 2)
- 24.62°, I = 168, (2 1 0)
- 38.93°, I = 158, (2 1 2)
- 42.51°, I = 119, (4 0 0)